Starting from a PBE-relaxed structure, the powder diffraction line list of Sm3PaSn12 was computed for CuKα.
Kinematic intensities with the Lorentz-polarization factor, no thermal factor.

Crystal structure
Cell lengths 4.739, 4.739, 18.704 Å; angles 90.00, 90.00, 90.00 degrees
Space group P4/mmm (No. 123)
Inequivalent atoms, fractional coordinates:
Sm (0.000, 0.000, 0.000)
Sm (0.000, 0.000, 0.256)
Pa (0.000, 0.000, 0.500)
Sn (0.000, 0.500, 0.127)
Sn (0.000, 0.500, 0.378)
Sn (0.500, 0.500, 0.000)
Sn (0.500, 0.500, 0.251)
Sn (0.500, 0.500, 0.500)

Top 10 peaks for 10° ≤ 2θ ≤ 90°, by angle:
2θ (°), intensity, (hkl)
32.9, 100, 1 1 4
38.0, 34, 2 0 0
38.5, 16, 0 0 8
54.8, 12, 2 2 0
55.2, 23, 2 0 8
65.4, 29, 3 1 4
66.1, 13, 1 1 12
69.0, 12, 2 2 8
81.2, 4, 4 0 0
82.5, 2, 0 0 16